[1]
# Sc4SiHgO
Computed powder XRD pattern, Cu Kα, 1.54184 Å. Input: a cell relaxed with GGA-PBE.

Cell and atoms:
abc: 7.937 7.937 6.008
angles: 90.00 90.00 135.52
Element x y z (fractional)
Sc (0.000, 0.500, 0.000)
Sc (0.000, 0.500, 0.500)
Sc (0.078, 0.922, 0.750)
Sc (0.418, 0.582, 0.750)
Sc (0.500, 0.000, 0.000)
Sc (0.500, 0.000, 0.500)
Sc (0.582, 0.418, 0.250)
Sc (0.922, 0.078, 0.250)
Si (0.115, 0.885, 0.250)
Si (0.885, 0.115, 0.750)
Hg (0.390, 0.610, 0.250)
Hg (0.610, 0.390, 0.750)
O (0.251, 0.749, 0.750)
O (0.749, 0.251, 0.250)

Most intense lines, 10° ≤ 2θ ≤ 80°, low angle first:
15.94 deg, I 68.4
19.08 deg, I 74.0
21.78 deg, I 28.9
27.80 deg, I 35.5
29.74 deg, I 58.3
32.19 deg, I 41.0
33.93 deg, I 42.6
35.58 deg, I 33.7
38.72 deg, I 100.0
42.56 deg, I 64.1

[2]
# HgSeO
Computed powder XRD pattern, Cu Kα, 1.54184 Å. Input: a cell relaxed with GGA-PBE.

Cell and atoms:
abc: 4.471 5.301 7.054
angles: 74.08 89.43 69.06
Element x y z (fractional)
Hg (0.187, 0.175, 0.226)
Hg (0.813, 0.825, 0.774)
Se (0.191, 0.144, 0.686)
Se (0.809, 0.856, 0.314)
O (0.117, 0.348, 0.857)
O (0.883, 0.652, 0.143)

Most intense lines, 10° ≤ 2θ ≤ 80°, low angle first:
18.73 deg, I 60.5
19.52 deg, I 44.8
22.67 deg, I 82.2
26.41 deg, I 100.0
27.65 deg, I 58.2
33.52 deg, I 66.9
36.05 deg, I 51.0
37.63 deg, I 38.7
37.92 deg, I 39.3
40.46 deg, I 41.6

[3]
# Hg2Se2O7
Computed powder XRD pattern, Cu Kα, 1.54184 Å. Input: a cell relaxed with GGA-PBE.

Cell and atoms:
abc: 5.035 10.939 6.728
angles: 90.00 100.65 90.00
Element x y z (fractional)
Hg (0.113, 0.152, 0.379)
Hg (0.113, 0.348, 0.879)
Hg (0.887, 0.652, 0.121)
Hg (0.887, 0.848, 0.621)
Se (0.333, 0.608, 0.673)
Se (0.333, 0.892, 0.173)
Se (0.667, 0.108, 0.827)
Se (0.667, 0.392, 0.327)
O (0.045, 0.679, 0.534)
O (0.045, 0.821, 0.034)
O (0.208, 0.538, 0.874)
O (0.208, 0.962, 0.374)
O (0.470, 0.219, 0.705)
O (0.470, 0.281, 0.205)
O (0.500, 0.000, 0.000)
O (0.500, 0.500, 0.500)
O (0.530, 0.719, 0.795)
O (0.530, 0.781, 0.295)
O (0.792, 0.038, 0.626)
O (0.792, 0.462, 0.126)
O (0.955, 0.179, 0.966)
O (0.955, 0.321, 0.466)

Most intense lines, 10° ≤ 2θ ≤ 80°, low angle first:
17.92 deg, I 20.6
25.72 deg, I 60.2
26.11 deg, I 100.0
28.20 deg, I 49.6
30.72 deg, I 20.1
32.75 deg, I 17.7
34.77 deg, I 26.7
37.26 deg, I 22.7
44.28 deg, I 15.0
49.98 deg, I 29.2

[4]
# HgSeO2
Computed powder XRD pattern, Cu Kα, 1.54184 Å. Input: a cell relaxed with GGA-PBE.

Cell and atoms:
abc: 10.486 3.898 5.798
angles: 90.00 122.92 90.00
Element x y z (fractional)
Hg (0.000, 0.000, 0.000)
Hg (0.500, 0.500, 0.000)
Se (0.000, 0.725, 0.500)
Se (0.500, 0.225, 0.500)
O (0.153, 0.476, 0.652)
O (0.347, 0.976, 0.348)
O (0.653, 0.976, 0.652)
O (0.847, 0.476, 0.348)

Most intense lines, 10° ≤ 2θ ≤ 80°, low angle first:
20.18 deg, I 100.0
24.98 deg, I 56.3
27.58 deg, I 88.2
30.84 deg, I 49.2
34.30 deg, I 35.5
34.51 deg, I 34.8
36.94 deg, I 22.3
38.40 deg, I 30.5
50.29 deg, I 25.0
50.48 deg, I 34.6

[5]
# Hg3Se3O10
Computed powder XRD pattern, Cu Kα, 1.54184 Å. Input: a cell relaxed with GGA-PBE.

Cell and atoms:
abc: 8.863 5.392 11.497
angles: 90.00 106.98 90.00
Element x y z (fractional)
Hg (0.000, 0.000, 0.126)
Hg (0.000, 0.500, 0.874)
Hg (0.067, 0.010, 0.642)
Hg (0.361, 0.513, 0.225)
Hg (0.639, 0.013, 0.775)
Hg (0.933, 0.510, 0.358)
Se (0.235, 0.031, 0.406)
Se (0.261, 0.978, 0.964)
Se (0.381, 0.514, 0.720)
Se (0.619, 0.014, 0.280)
Se (0.739, 0.478, 0.036)
Se (0.765, 0.531, 0.594)
O (0.093, 0.158, 0.468)
O (0.127, 0.857, 0.831)
O (0.132, 0.791, 0.315)
O (0.148, 0.208, 0.005)
O (0.207, 0.241, 0.287)
O (0.225, 0.749, 0.058)
O (0.266, 0.334, 0.777)
O (0.284, 0.701, 0.608)
O (0.497, 0.328, 0.661)
O (0.498, 0.687, 0.835)
O (0.502, 0.187, 0.165)
O (0.503, 0.828, 0.339)
O (0.716, 0.201, 0.392)
O (0.734, 0.834, 0.223)
O (0.775, 0.249, 0.942)
O (0.793, 0.741, 0.713)
O (0.852, 0.708, 0.995)
O (0.868, 0.291, 0.685)
O (0.873, 0.357, 0.169)
O (0.907, 0.658, 0.532)

Most intense lines, 10° ≤ 2θ ≤ 80°, low angle first:
10.44 deg, I 37.2
16.12 deg, I 16.7
26.75 deg, I 43.5
27.33 deg, I 97.6
27.94 deg, I 100.0
31.13 deg, I 34.2
33.24 deg, I 32.6
40.93 deg, I 22.8
46.18 deg, I 35.8
53.81 deg, I 16.5